Calculated powder diffractogram
Compound: Cu3Ni4BiO12
Radiation: λ = 1.5418 Å (Cu Kα)
Structure: a GGA+U-relaxed structure
Lines closer than 0.1° are merged.

```
data_Cu3Ni4BiO12
_space_group_name_H-M_alt 'I m -3'
_space_group_IT_number 204
_space_group_name_Hall '-I 2 2 3'
_cell_length_a 7.332
_cell_length_b 7.332
_cell_length_c 7.332
_cell_angle_alpha 90.00
_cell_angle_beta 90.00
_cell_angle_gamma 90.00
loop_
_atom_site_label
_atom_site_fract_x
_atom_site_fract_y
_atom_site_fract_z
Cu1 0.000 0.000 0.500
Ni1 0.250 0.250 0.250
Bi1 0.000 0.000 0.000
O1 0.000 0.171 0.311
```

Largest 8 diffraction maxima, in order of falling intensity, 2θ from 10° to 90°:
d_spacing  2θ (°)  Rel. int.  hkl
2.592  34.6  100  2 2 0
1.497  62.0  46  4 2 2
5.185  17.1  24  1 1 0
1.833  49.7  23  4 0 0
1.159  83.4  17  6 0 2
1.960  46.3  14  3 2 1
2.319  38.8  13  3 1 0
1.296  73.0  12  4 4 0